Cu3Pd7Pt: computed X-ray powder pattern (a wavelength of 1.5418 Å), based on the PBE geometry in Alexandria.

Crystal structure
```
Cu3Pd7Pt
1.0
5.4892 0.0000 0.0000
-2.7446 4.7538 0.0000
0.0000 0.0000 6.5237
Cu Pd Pt
3 7 1
Direct
0.1674 0.3347 0.0000
0.1674 0.8326 0.0000
0.6653 0.8326 0.0000
0.0000 0.0000 0.6825
0.3356 0.1678 0.3189
0.5010 0.0020 0.6803
0.5010 0.4990 0.6803
0.8322 0.1678 0.3189
0.8322 0.6644 0.3189
0.9980 0.4990 0.6803
0.3333 0.6667 0.3194
```

Top 12 peaks for 2θ from 10° to 80°, in order of rising 2θ:
two_theta, I_rel, index
13.6, 15, 0 0 1
18.7, 8, 1 0 0
23.2, 6, 0 1 1
27.3, 11, 0 0 2
37.9, 6, 2 0 0
40.4, 100, 0 2 1
41.5, 27, 0 0 3
47.3, 58, 2 0 2
57.4, 6, 0 2 3
68.4, 19, 2 2 0
70.0, 20, 0 2 4
75.1, 4, 2 2 2

=====

Cu2Pd5Pt2: computed X-ray powder pattern (a wavelength of 1.5418 Å), based on the PBE geometry in Alexandria.

Crystal structure
```
Cu2Pd5Pt2
1.0
6.4258 0.0000 0.0000
2.9067 6.2175 0.0000
0.2433 1.6177 6.9051
Cu Pd Pt
4 10 4
Direct
0.0000 0.0000 0.0000
0.0472 0.6346 0.7097
0.4037 0.2115 0.4947
0.8953 0.6650 0.1955
0.1336 0.1798 0.2519
0.2164 0.6962 0.3800
0.2689 0.8875 0.7132
0.2807 0.5431 0.0338
0.5258 0.4184 0.6994
0.6101 0.1148 0.1541
0.6267 0.7744 0.4813
0.6923 0.9360 0.8175
0.7982 0.4732 0.9407
0.9689 0.3460 0.5762
0.2564 0.2260 0.8771
0.4495 0.8246 0.0939
0.6474 0.4294 0.3072
0.8698 0.0202 0.4885
```

Top 12 peaks for 2θ from 10° to 80°, in order of rising 2θ:
two_theta, I_rel, index
19.0, 45, 1 1 1
19.3, 48, 1 0 -1
38.7, 53, 2 2 2
39.2, 100, 2 0 -2
40.2, 57, 1 1 3
40.6, 64, 1 3 0
41.5, 44, 1 2 -2
43.1, 46, -1 1 3
43.7, 82, 2 -1 1
44.3, 55, 3 2 1
44.7, 45, 3 1 -1
45.2, 48, 0 1 -3